Computed X-ray diffraction stick pattern of NaGaPb for Cu Kα X-rays, from a crystal structure in Alexandria, relaxed with GGA-PBE.
No peak broadening, texture or thermal motion is included.

Peak list (10 most intense, 2θ = 10–80°, in order of rising 2θ)
Position (°2θ)  I/Imax
11.77  369
13.42  367
16.70  322
17.60  338
31.68  746
32.19  1000
32.91  476
36.28  329
38.34  295
39.22  371

Cell and atoms:
```
NaGaPb
1.0
5.915 0.000 0.000
-1.507 7.180 0.000
-1.897 -3.225 7.516
Na Ga Pb
4 4 4
direct
0.000 0.000 0.000
0.084 0.396 0.858
0.579 0.534 0.677
0.731 0.620 0.183
0.217 0.457 0.294
0.284 0.790 0.224
0.450 0.821 0.966
0.646 0.916 0.540
0.089 0.718 0.606
0.130 0.105 0.459
0.523 0.163 0.848
0.630 0.213 0.296
```

***

Computed X-ray diffraction stick pattern of Na3Ga8Pd for Cu Kα X-rays, from a crystal structure in Alexandria, relaxed with GGA-PBE.
No peak broadening, texture or thermal motion is included.

Peak list (10 most intense, 2θ = 10–80°, in order of rising 2θ)
Position (°2θ)  I/Imax
10.10  211
19.46  562
37.62  422
38.08  1000
38.97  186
39.52  634
41.24  304
46.47  327
60.95  242
66.62  265

Cell and atoms:
```
Na3Ga8Pd
1.0
2.808 1.621 8.757
-2.808 1.621 8.757
0.000 -3.242 8.757
Na Ga Pd
3 8 1
direct
0.000 0.000 0.000
0.125 0.125 0.125
0.620 0.620 0.620
0.060 0.566 0.566
0.064 0.064 0.554
0.064 0.554 0.064
0.315 0.315 0.315
0.554 0.064 0.064
0.566 0.060 0.566
0.566 0.566 0.060
0.814 0.814 0.814
0.477 0.477 0.477
```

***

Computed X-ray diffraction stick pattern of NaGa4Pd for Cu Kα X-rays, from a crystal structure in Alexandria, relaxed with GGA-PBE.
No peak broadening, texture or thermal motion is included.

Peak list (10 most intense, 2θ = 10–80°, in order of rising 2θ)
Position (°2θ)  I/Imax
15.17  1000
31.30  229
33.05  320
36.23  419
38.31  465
39.78  506
41.88  364
43.75  436
45.74  186
46.59  216

Cell and atoms:
```
NaGa4Pd
1.0
0.000 4.696 5.839
4.377 0.000 5.839
4.377 4.696 0.000
Na Ga Pd
2 8 2
direct
0.000 0.000 0.500
0.500 0.500 0.000
0.030 0.306 0.694
0.194 0.522 0.806
0.306 0.030 0.970
0.478 0.806 0.522
0.522 0.194 0.478
0.694 0.970 0.030
0.806 0.478 0.194
0.970 0.694 0.306
0.250 0.250 0.250
0.750 0.750 0.750
```